This entry pairs a crystal structure of La3ZrAu with its computed X-ray diffraction stick pattern. Radiation: Cu Kα X-rays. Structure: a cell relaxed with PBE.

Principal peaks in the range 15 to 90 degrees two-theta, by angle:
hkl 1 0 0, 2θ 15.4, I 608; hkl 1 1 1, 2θ 26.9, I 376; hkl 2 0 0, 2θ 31.1, I 1000; hkl 2 1 0, 2θ 34.9, I 350; hkl 2 2 0, 2θ 44.6, I 743; hkl 4 2 0, 2θ 73.7, I 333

Structural model:
Lattice parameters (Å, degrees): 5.750 5.750 5.750 90.00 90.00 90.00
Space group Pm-3m (No. 221)
One atom of each set of equivalent atoms:
La  0.000  0.000  0.500 [3 per cell]
Zr  0.500  0.500  0.500 [1 per cell]
Au  0.000  0.000  0.000 [1 per cell]

***

This entry pairs a crystal structure of BPt with its computed X-ray diffraction stick pattern. Radiation: Cu Kα X-rays. Structure: a cell relaxed with PBE.

Principal peaks in the range 15 to 90 degrees two-theta, by angle:
hkl 1 1 0, 2θ 29.1, I 537; hkl 1 1 -1, 2θ 29.8, I 1000; hkl 0 0 2, 2θ 39.4, I 363; hkl 1 1 1, 2θ 39.9, I 485; hkl 0 2 1, 2θ 41.1, I 641; hkl 2 2 -1, 2θ 57.4, I 254

Structural model:
Lattice parameters (Å, degrees): 4.194 5.005 4.945 90.00 112.17 90.00
Space group C2 (No. 5)
One atom of each set of equivalent atoms:
B  0.085  0.000  0.195 [4 per cell]
Pt  0.000  0.271  0.500 [2 per cell]
Pt  0.000  0.569  0.000 [2 per cell]

***

This entry pairs a crystal structure of TbGa8Ni4 with its computed X-ray diffraction stick pattern. Radiation: Cu Kα X-rays. Structure: a cell relaxed with PBE.

Principal peaks in the range 15 to 90 degrees two-theta, by angle:
hkl 3 0 1, 2θ 35.8, I 521; hkl 2 0 2, 2θ 40.7, I 685; hkl 3 2 1, 2θ 41.7, I 1000; hkl 4 0 0, 2θ 42.0, I 608; hkl 2 2 2, 2θ 46.0, I 431; hkl 6 3 1, 2θ 76.6, I 262

Structural model:
Lattice parameters (Å, degrees): 8.596 8.596 5.179 90.00 90.00 90.00
Space group I4/mmm (No. 139)
One atom of each set of equivalent atoms:
Tb  0.000  0.000  0.000 [2 per cell]
Ga  0.000  0.222  0.500 [8 per cell]
Ga  0.000  0.343  0.000 [8 per cell]
Ni  0.250  0.250  0.250 [8 per cell]

***

This entry pairs a crystal structure of La6Sm5Mg2 with its computed X-ray diffraction stick pattern. Radiation: Cu Kα X-rays. Structure: a cell relaxed with PBE.

Principal peaks in the range 15 to 90 degrees two-theta, by angle:
hkl 3 3 0, 2θ 27.4, I 953; hkl 0 4 1, 2θ 29.2, I 824; hkl 0 8 0, 2θ 30.6, I 910; hkl 3 5 0, 2θ 31.5, I 1000; hkl 2 3 1, 2θ 32.1, I 765; hkl 3 1 1, 2θ 35.6, I 862

Structural model:
Lattice parameters (Å, degrees): 10.754 23.372 3.595 90.00 90.00 90.00
Space group Pbam (No. 55)
One atom of each set of equivalent atoms:
La  0.018  0.113  0.000 [4 per cell]
La  0.150  0.383  0.000 [4 per cell]
La  0.166  0.633  0.500 [4 per cell]
Sm  0.000  0.500  0.500 [2 per cell]
Sm  0.085  0.249  0.500 [4 per cell]
Sm  0.166  0.994  0.500 [4 per cell]
Mg  0.165  0.760  0.000 [4 per cell]

***

This entry pairs a crystal structure of Ag8PS6 with its computed X-ray diffraction stick pattern. Radiation: Cu Kα X-rays. Structure: a cell relaxed with PBE.

Principal peaks in the range 15 to 90 degrees two-theta, by angle:
hkl 0 2 1, 2θ 24.9, I 374; hkl 2 0 2, 2θ 28.8, I 1000; hkl 0 1 4, 2θ 35.6, I 513; hkl 2 1 3, 2θ 36.5, I 536; hkl 2 3 0, 2θ 42.9, I 289; hkl 2 3 1, 2θ 43.8, I 455

Structural model:
Lattice parameters (Å, degrees): 7.617 7.583 10.694 90.00 90.00 90.00
Space group Pmn2_1 (No. 31)
One atom of each set of equivalent atoms:
Ag  0.000  0.124  0.000 [2 per cell]
Ag  0.000  0.221  0.444 [2 per cell]
Ag  0.202  0.598  0.828 [4 per cell]
Ag  0.206  0.031  0.233 [4 per cell]
Ag  0.210  0.661  0.119 [4 per cell]
P  0.000  0.750  0.491 [2 per cell]
S  0.000  0.302  0.214 [2 per cell]
S  0.000  0.503  0.622 [2 per cell]
S  0.000  0.786  0.968 [2 per cell]
S  0.000  0.981  0.606 [2 per cell]
S  0.227  0.752  0.373 [4 per cell]

***

This entry pairs a crystal structure of CoTcIN2 with its computed X-ray diffraction stick pattern. Radiation: Cu Kα X-rays. Structure: a cell relaxed with PBE.

Principal peaks in the range 15 to 90 degrees two-theta, by angle:
hkl 1 0 0, 2θ 23.2, I 983; hkl 0 0 2, 2θ 30.3, I 939; hkl 1 1 0, 2θ 33.1, I 1000; hkl 1 0 2, 2θ 38.5, I 518; hkl 1 1 2, 2θ 45.5, I 827; hkl 2 0 2, 2θ 57.4, I 560

Structural model:
Lattice parameters (Å, degrees): 3.827 3.827 5.901 90.00 90.00 90.00
Space group P4/mmm (No. 123)
One atom of each set of equivalent atoms:
Co  0.000  0.000  0.000 [1 per cell]
Tc  0.500  0.500  0.500 [1 per cell]
I  0.500  0.500  0.000 [1 per cell]
N  0.000  0.500  0.500 [2 per cell]